NaMnIO6: theoretical PXRD pattern (Cu Ka), based on the GGA+U geometry in the Materials Project.
Peak positions follow from Bragg's law for the DFT cell and can differ from measured ones.

Crystal structure
Cell: 5.0931 5.0931 5.3747 Å, 90.00 90.00 120.00°
Space group P312 (No. 149)
Inequivalent atoms, fractional coordinates:
Na 0.0000 0.0000 0.0000
Mn 0.6667 0.3333 0.5000
I 0.3333 0.6667 0.5000
O 0.0043 0.3790 0.3004

Top 10 peaks for 5° ≤ 2θ ≤ 70°, in order of rising 2θ:
- (0 0 1), 2θ = 16.5°, d 5.375, intensity 100
- (1 0 0), 2θ = 20.1°, d 4.411, intensity 53
- (1 0 1), 2θ = 26.1°, d 3.410, intensity 97
- (1 1 0), 2θ = 35.2°, d 2.547, intensity 31
- (1 1 1), 2θ = 39.1°, d 2.301, intensity 46
- (2 0 1), 2θ = 44.4°, d 2.040, intensity 18
- (1 1 2), 2θ = 49.3°, d 1.848, intensity 53
- (2 1 1), 2θ = 57.9°, d 1.592, intensity 19
- (2 -1 3), 2θ = 63.5°, d 1.465, intensity 15
- (3 0 1), 2θ = 65.9°, d 1.418, intensity 18